# LiHo4Ru
Simulated PXRD pattern, Cu Ka. Input: a GGA-PBE-relaxed structure.
Intensities are scaled so that the largest is 100.

abc: 7.8914 7.8914 7.8914
angles: 102.26 102.26 125.13
Element x y z (fractional)
Li 0.0000 0.0000 0.0000
Li 0.7500 0.2500 0.5000
Ho 0.0554 0.8181 0.2373
Ho 0.0832 0.3911 0.3080
Ho 0.0832 0.7752 0.6920
Ho 0.1411 0.3332 0.8080
Ho 0.5252 0.3332 0.1920
Ho 0.5681 0.3054 0.7373
Ho 0.5681 0.8307 0.2627
Ho 0.5807 0.8181 0.7627
Ru 0.3509 0.8509 0.5000
Ru 0.6009 0.6009 0.0000

Peak list (10 most intense, 10 to 90 degrees two-theta, sorted by position)
15.11°, I = 20; 25.43°, I = 45; 28.50°, I = 21; 30.50°, I = 100; 36.28°, I = 32; 37.91°, I = 14; 39.51°, I = 13; 46.21°, I = 19; 48.10°, I = 32; 63.48°, I = 14